Simulated powder X-ray diffraction pattern
Compound: Na5LiFe2P2C2O14
Radiation: Cu Kα X-rays
Structure: a cell relaxed with GGA+U

Principal peaks in the range 2θ from 10° to 80°, sorted by position:
index  2θ (°)  I_rel
0 1 2  19.65  291
0 1 -2  19.98  300
0 2 2  26.12  308
2 0 0  26.44  1000
2 2 0  33.22  528
2 -1 2  33.36  351
2 -2 0  33.43  273
0 3 2  34.50  272
0 0 4  34.62  696
4 0 0  54.45  398

Cell and atoms:
a b c (Å): 6.743 8.916 10.366
angles (deg): 88.90 89.94 89.62
Fractional positions:
Na  0.000  0.000  0.000
Na  0.002  0.474  0.752
Na  0.006  0.476  0.249
Na  0.250  0.656  0.495
Na  0.256  0.657  0.992
Na  0.497  0.477  0.249
Na  0.498  0.474  0.752
Na  0.503  0.002  0.500
Na  0.743  0.822  0.251
Na  0.996  0.001  0.498
Li  0.528  0.020  0.987
Li  0.744  0.834  0.751
Fe  0.253  0.093  0.259
Fe  0.255  0.086  0.767
Fe  0.749  0.385  0.484
Fe  0.752  0.383  0.990
P  0.249  0.322  0.521
P  0.259  0.323  0.022
P  0.747  0.148  0.225
P  0.753  0.147  0.732
C  0.251  0.799  0.239
C  0.252  0.796  0.739
C  0.742  0.694  0.998
C  0.750  0.677  0.519
O  0.063  0.419  0.483
O  0.069  0.411  0.979
O  0.247  0.170  0.454
O  0.249  0.652  0.729
O  0.249  0.655  0.228
O  0.249  0.858  0.851
O  0.250  0.861  0.352
O  0.251  0.297  0.671
O  0.254  0.303  0.173
O  0.254  0.887  0.137
O  0.257  0.883  0.636
O  0.274  0.165  0.962
O  0.434  0.418  0.481
O  0.437  0.424  0.984
O  0.568  0.056  0.275
O  0.574  0.046  0.776
O  0.723  0.835  0.025
O  0.731  0.168  0.074
O  0.745  0.174  0.583
O  0.748  0.579  0.614
O  0.748  0.629  0.401
O  0.750  0.650  0.880
O  0.751  0.300  0.801
O  0.753  0.307  0.285
O  0.753  0.593  0.093
O  0.753  0.819  0.544
O  0.935  0.054  0.259
O  0.940  0.051  0.767